Starting from a structure optimized by DFT (GGA-PBE), the powder diffraction line list of In6Ga3Hg was computed for CuKα.
Kinematic intensities with the Lorentz-polarization factor, no thermal factor.

Principal peaks in the range 10 to 90 degrees two-theta, by angle:
2θ (°), Rel. int.
25.39, 14
29.29, 14
31.68, 54
32.65, 13
33.12, 100
34.58, 29
35.51, 42
35.83, 38
36.72, 61
40.88, 11
55.73, 12
60.49, 12

Crystal structure
Cell: 9.3314 5.7341 12.1754 Å, 90.00 129.49 90.00°
Element x y z (fractional)
In (0.0743, 0.0517, 0.3997)
In (0.0743, 0.4483, 0.8997)
In (0.2743, 0.5428, 0.4432)
In (0.2743, 0.9572, 0.9432)
In (0.3824, 0.7024, 0.2312)
In (0.3824, 0.7976, 0.7312)
In (0.6176, 0.2024, 0.2688)
In (0.6176, 0.2976, 0.7688)
In (0.7257, 0.0428, 0.0568)
In (0.7257, 0.4572, 0.5568)
In (0.9257, 0.5517, 0.1003)
In (0.9257, 0.9483, 0.6003)
Ga (0.0000, 0.0000, 0.0000)
Ga (0.0000, 0.5000, 0.5000)
Ga (0.2605, 0.2238, 0.2344)
Ga (0.2605, 0.2762, 0.7344)
Ga (0.7395, 0.7238, 0.2656)
Ga (0.7395, 0.7762, 0.7656)
Hg (0.5000, 0.0000, 0.5000)
Hg (0.5000, 0.5000, 0.0000)

Starting from a structure optimized by DFT (GGA-PBE), the powder diffraction line list of In4GaHg10 was computed for CuKα.
Kinematic intensities with the Lorentz-polarization factor, no thermal factor.

Principal peaks in the range 10 to 90 degrees two-theta, by angle:
2θ (°), Rel. int.
22.10, 20
25.40, 80
35.86, 97
36.59, 100
45.07, 18
52.17, 33
58.39, 14
59.38, 19
63.98, 14
65.40, 34
65.88, 18
88.74, 16

Crystal structure
Cell: 20.8427 20.8427 20.8427 Å, 13.53 13.53 13.53°
Element x y z (fractional)
In (0.1025, 0.1025, 0.1025)
In (0.2993, 0.2993, 0.2993)
In (0.7007, 0.7007, 0.7007)
In (0.8975, 0.8975, 0.8975)
Ga (0.5000, 0.5000, 0.5000)
Hg (0.0525, 0.0525, 0.0525)
Hg (0.1526, 0.1526, 0.1526)
Hg (0.2496, 0.2496, 0.2496)
Hg (0.3490, 0.3490, 0.3490)
Hg (0.4539, 0.4539, 0.4539)
Hg (0.5461, 0.5461, 0.5461)
Hg (0.6510, 0.6510, 0.6510)
Hg (0.7504, 0.7504, 0.7504)
Hg (0.8474, 0.8474, 0.8474)
Hg (0.9475, 0.9475, 0.9475)

Starting from a structure optimized by DFT (GGA-PBE), the powder diffraction line list of In6GaHg7 was computed for CuKα.
Kinematic intensities with the Lorentz-polarization factor, no thermal factor.

Principal peaks in the range 10 to 90 degrees two-theta, by angle:
2θ (°), Rel. int.
26.98, 25
29.65, 17
32.30, 82
32.49, 80
33.31, 100
33.86, 67
34.52, 21
35.17, 16
38.26, 19
39.28, 38
59.77, 16
66.10, 17

Crystal structure
Cell: 11.5252 11.5252 11.5252 Å, 149.69 98.43 89.43°
Element x y z (fractional)
In (0.0012, 0.6149, 0.9674)
In (0.1475, 0.1149, 0.6137)
In (0.2211, 0.0344, 0.2555)
In (0.2789, 0.5344, 0.8133)
In (0.3525, 0.9662, 0.9674)
In (0.4988, 0.4662, 0.6137)
In (0.5012, 0.5338, 0.3863)
In (0.6475, 0.0338, 0.0326)
In (0.7211, 0.4656, 0.1867)
In (0.7789, 0.9656, 0.7445)
In (0.8525, 0.8851, 0.3863)
In (0.9988, 0.3851, 0.0326)
Ga (0.2500, 0.7500, 0.5000)
Ga (0.7500, 0.2500, 0.5000)
Hg (0.0097, 0.7992, 0.5673)
Hg (0.0452, 0.7602, 0.8054)
Hg (0.2319, 0.4424, 0.4327)
Hg (0.2500, 0.2500, 0.0000)
Hg (0.2681, 0.7008, 0.2105)
Hg (0.4548, 0.2602, 0.7150)
Hg (0.4903, 0.0576, 0.7895)
Hg (0.5097, 0.9424, 0.2105)
Hg (0.5452, 0.7398, 0.2850)
Hg (0.7319, 0.2992, 0.7895)
Hg (0.7500, 0.7500, 0.0000)
Hg (0.7681, 0.5576, 0.5673)
Hg (0.9548, 0.2398, 0.1946)
Hg (0.9903, 0.2008, 0.4327)

Starting from a structure optimized by DFT (GGA-PBE), the powder diffraction line list of InGaHg4 was computed for CuKα.
Kinematic intensities with the Lorentz-polarization factor, no thermal factor.

Principal peaks in the range 10 to 90 degrees two-theta, by angle:
2θ (°), Rel. int.
22.61, 13
27.86, 27
29.89, 33
31.30, 41
37.78, 100
42.39, 18
43.08, 10
52.17, 9
60.04, 26
62.11, 11
66.17, 16
73.88, 12

Crystal structure
Cell: 5.1704 5.1704 7.0126 Å, 109.88 109.88 67.12°
Element x y z (fractional)
In (0.0000, 0.0000, 0.0000)
Ga (0.0000, 0.0000, 0.5000)
Hg (0.3096, 0.3096, 0.8957)
Hg (0.3142, 0.3142, 0.4222)
Hg (0.6858, 0.6858, 0.5778)
Hg (0.6904, 0.6904, 0.1043)

Starting from a structure optimized by DFT (GGA-PBE), the powder diffraction line list of In2GaHg7 was computed for CuKα.
Kinematic intensities with the Lorentz-polarization factor, no thermal factor.

Principal peaks in the range 10 to 90 degrees two-theta, by angle:
2θ (°), Rel. int.
28.09, 27
31.29, 45
31.51, 60
32.29, 100
33.94, 52
34.16, 46
35.82, 25
36.35, 31
36.74, 50
37.60, 22
38.32, 16
40.40, 16

Crystal structure
Cell: 7.9052 7.9052 10.6788 Å, 116.16 116.16 68.33°
Element x y z (fractional)
In (0.1017, 0.2036, 0.1042)
In (0.2036, 0.1017, 0.6042)
In (0.7964, 0.8983, 0.3958)
In (0.8983, 0.7964, 0.8958)
Ga (0.4053, 0.5947, 0.2500)
Ga (0.5947, 0.4053, 0.7500)
Hg (0.0318, 0.9682, 0.2500)
Hg (0.1623, 0.5590, 0.6897)
Hg (0.1849, 0.3952, 0.9378)
Hg (0.2139, 0.6087, 0.4279)
Hg (0.3913, 0.7861, 0.0721)
Hg (0.3952, 0.1849, 0.4378)
Hg (0.4410, 0.8377, 0.8103)
Hg (0.5590, 0.1623, 0.1897)
Hg (0.6048, 0.8151, 0.5622)
Hg (0.6087, 0.2139, 0.9279)
Hg (0.7861, 0.3913, 0.5721)
Hg (0.8151, 0.6048, 0.0622)
Hg (0.8377, 0.4410, 0.3103)
Hg (0.9682, 0.0318, 0.7500)

Starting from a structure optimized by DFT (GGA-PBE), the powder diffraction line list of In5Ga2Hg2 was computed for CuKα.
Kinematic intensities with the Lorentz-polarization factor, no thermal factor.

Principal peaks in the range 10 to 90 degrees two-theta, by angle:
2θ (°), Rel. int.
32.55, 60
32.81, 63
33.25, 68
35.30, 100
38.48, 37
42.51, 28
51.60, 15
54.28, 10
54.80, 11
58.52, 12
62.37, 11
65.06, 14

Crystal structure
Cell: 5.7582 9.5136 9.6000 Å, 119.47 90.71 92.39°
Element x y z (fractional)
In (0.0000, 0.0000, 0.0000)
In (0.0043, 0.6210, 0.7103)
In (0.1628, 0.7009, 0.4349)
In (0.3015, 0.7441, 0.1227)
In (0.3695, 0.3977, 0.7931)
In (0.4808, 0.1499, 0.2141)
In (0.5045, 0.8190, 0.8542)
In (0.6365, 0.5329, 0.2445)
In (0.8269, 0.9202, 0.2884)
In (0.8557, 0.2358, 0.6566)
Ga (0.2335, 0.0372, 0.7401)
Ga (0.3297, 0.0583, 0.4651)
Ga (0.6291, 0.2060, 0.9404)
Ga (0.8107, 0.5888, 0.9782)
Hg (0.1178, 0.3706, 0.0720)
Hg (0.5112, 0.4797, 0.5305)
Hg (0.7030, 0.8767, 0.5859)
Hg (0.9979, 0.3008, 0.3700)

Starting from a structure optimized by DFT (GGA-PBE), the powder diffraction line list of In2Ga6Hg was computed for CuKα.
Kinematic intensities with the Lorentz-polarization factor, no thermal factor.

Principal peaks in the range 10 to 90 degrees two-theta, by angle:
2θ (°), Rel. int.
11.82, 23
21.15, 38
30.25, 35
31.40, 43
32.02, 48
35.10, 74
35.61, 64
35.98, 44
36.35, 48
38.30, 42
39.17, 100
53.25, 25

Crystal structure
Cell: 8.5369 8.5369 3.4457 Å, 98.78 98.78 54.17°
Element x y z (fractional)
In (0.1318, 0.1318, 0.1092)
In (0.8682, 0.8682, 0.8908)
Ga (0.1421, 0.4907, 0.3056)
Ga (0.2071, 0.7929, 0.5000)
Ga (0.4907, 0.1421, 0.3056)
Ga (0.5093, 0.8579, 0.6944)
Ga (0.7929, 0.2071, 0.5000)
Ga (0.8579, 0.5093, 0.6944)
Hg (0.5000, 0.5000, 0.0000)

Starting from a structure optimized by DFT (GGA-PBE), the powder diffraction line list of In5GaHg6 was computed for CuKα.
Kinematic intensities with the Lorentz-polarization factor, no thermal factor.

Principal peaks in the range 10 to 90 degrees two-theta, by angle:
2θ (°), Rel. int.
19.96, 11
27.88, 11
30.96, 100
31.54, 49
37.80, 60
40.56, 23
41.69, 22
46.89, 15
50.99, 25
57.61, 16
63.65, 22
64.69, 12

Crystal structure
Cell: 6.0752 7.4405 7.4406 Å, 102.75 100.33 100.34°
Element x y z (fractional)
In (0.0000, 0.0000, 0.0000)
In (0.9996, 0.3201, 0.6815)
In (0.0004, 0.6799, 0.3185)
In (0.4993, 0.8395, 0.1606)
In (0.5007, 0.1605, 0.8394)
Ga (0.5000, 0.5000, 0.5000)
Hg (0.2413, 0.7355, 0.7346)
Hg (0.2635, 0.1034, 0.4207)
Hg (0.2652, 0.4198, 0.1032)
Hg (0.7348, 0.5802, 0.8968)
Hg (0.7365, 0.8966, 0.5793)
Hg (0.7587, 0.2645, 0.2654)

Starting from a structure optimized by DFT (GGA-PBE), the powder diffraction line list of In6GaHg5 was computed for CuKα.
Kinematic intensities with the Lorentz-polarization factor, no thermal factor.

Principal peaks in the range 10 to 90 degrees two-theta, by angle:
2θ (°), Rel. int.
31.09, 100
31.86, 51
36.61, 66
37.67, 29
47.38, 15
50.14, 27
50.66, 12
52.50, 23
62.05, 12
63.40, 15
63.93, 10
64.83, 10

Crystal structure
Cell: 5.7922 7.9133 8.3479 Å, 112.88 103.32 104.09°
Element x y z (fractional)
In (0.0001, 0.2235, 0.4992)
In (0.9999, 0.7765, 0.5008)
In (0.3235, 0.6062, 0.1753)
In (0.3485, 0.0684, 0.1746)
In (0.6515, 0.9316, 0.8254)
In (0.6765, 0.3938, 0.8247)
Ga (0.5000, 0.0000, 0.5000)
Hg (0.1577, 0.6560, 0.8121)
Hg (0.1832, 0.1832, 0.8644)
Hg (0.5000, 0.5000, 0.5000)
Hg (0.8168, 0.8168, 0.1356)
Hg (0.8423, 0.3440, 0.1879)

Starting from a structure optimized by DFT (GGA-PBE), the powder diffraction line list of In6GaHg9 was computed for CuKα.
Kinematic intensities with the Lorentz-polarization factor, no thermal factor.

Principal peaks in the range 10 to 90 degrees two-theta, by angle:
2θ (°), Rel. int.
30.62, 93
31.24, 93
31.46, 17
32.98, 72
33.36, 83
34.08, 68
39.30, 100
48.89, 25
51.32, 18
53.65, 16
57.18, 23
64.54, 16

Crystal structure
Cell: 7.2923 8.4907 8.5350 Å, 64.18 86.12 65.11°
Element x y z (fractional)
In (0.1337, 0.4876, 0.3280)
In (0.2115, 0.0779, 0.2006)
In (0.3581, 0.5065, 0.8515)
In (0.6419, 0.4935, 0.1485)
In (0.7885, 0.9221, 0.7994)
In (0.8663, 0.5124, 0.6720)
Ga (0.0000, 0.5000, 0.0000)
Hg (0.0293, 0.8190, 0.4681)
Hg (0.2069, 0.8255, 0.0146)
Hg (0.3258, 0.1793, 0.7888)
Hg (0.4453, 0.8553, 0.6513)
Hg (0.5000, 0.5000, 0.5000)
Hg (0.5547, 0.1447, 0.3487)
Hg (0.6742, 0.8207, 0.2112)
Hg (0.7931, 0.1745, 0.9854)
Hg (0.9707, 0.1810, 0.5319)

Starting from a structure optimized by DFT (GGA-PBE), the powder diffraction line list of In12GaHg6 was computed for CuKα.
Kinematic intensities with the Lorentz-polarization factor, no thermal factor.

Principal peaks in the range 10 to 90 degrees two-theta, by angle:
2θ (°), Rel. int.
13.72, 7
22.33, 54
23.88, 4
36.86, 100
43.52, 29
53.12, 18
58.32, 13
66.41, 34
71.02, 9
78.44, 10
82.80, 10
89.98, 15

Crystal structure
Cell: 8.4476 8.4476 8.4476 Å, 99.62 99.62 99.62°
Element x y z (fractional)
In (0.0445, 0.9029, 0.3221)
In (0.0971, 0.6779, 0.9555)
In (0.1866, 0.4547, 0.5901)
In (0.3221, 0.0445, 0.9029)
In (0.4099, 0.8134, 0.5453)
In (0.4547, 0.5901, 0.1866)
In (0.5453, 0.4099, 0.8134)
In (0.5901, 0.1866, 0.4547)
In (0.6779, 0.9555, 0.0971)
In (0.8134, 0.5453, 0.4099)
In (0.9029, 0.3221, 0.0445)
In (0.9555, 0.0971, 0.6779)
Ga (0.5000, 0.5000, 0.5000)
Hg (0.0738, 0.7845, 0.6427)
Hg (0.2155, 0.3573, 0.9262)
Hg (0.3573, 0.9262, 0.2155)
Hg (0.6427, 0.0738, 0.7845)
Hg (0.7845, 0.6427, 0.0738)
Hg (0.9262, 0.2155, 0.3573)

Starting from a structure optimized by DFT (GGA-PBE), the powder diffraction line list of Mg3InGaHg was computed for CuKα.
Kinematic intensities with the Lorentz-polarization factor, no thermal factor.

Principal peaks in the range 10 to 90 degrees two-theta, by angle:
2θ (°), Rel. int.
16.02, 22
20.03, 38
20.22, 97
29.16, 37
30.04, 48
34.10, 68
34.87, 100
35.32, 25
38.74, 26
38.87, 78
45.44, 27
62.63, 21

Crystal structure
Cell: 6.0135 6.0135 7.9163 Å, 94.06 94.06 67.09°
Element x y z (fractional)
Mg (0.1256, 0.6281, 0.8503)
Mg (0.2536, 0.2536, 0.5073)
Mg (0.3719, 0.8744, 0.1497)
Mg (0.6281, 0.1256, 0.8503)
Mg (0.7464, 0.7464, 0.4927)
Mg (0.8744, 0.3719, 0.1497)
In (0.2425, 0.7575, 0.5000)
In (0.7575, 0.2425, 0.5000)
Ga (0.1240, 0.1240, 0.8278)
Ga (0.8760, 0.8760, 0.1722)
Hg (0.3680, 0.3680, 0.1638)
Hg (0.6320, 0.6320, 0.8362)